No. 1
# Cs3Pu2Cl7
Theoretical PXRD pattern, Cu Ka. Input: a PBE-relaxed structure.
Peak positions follow from Bragg's law for the DFT cell and can differ from measured ones.

Cell and atoms:
```
data_Cs3Pu2Cl7
_cell_length_a 5.620
_cell_length_b 28.411
_cell_length_c 5.524
_cell_angle_alpha 90.00
_cell_angle_beta 90.00
_cell_angle_gamma 90.00
_symmetry_space_group_name_H-M 'C m m m'
_symmetry_Int_Tables_number 65
_symmetry_space_group_name_Hall '-C 2 2'
loop_
_atom_site_label
_atom_site_fract_x
_atom_site_fract_y
_atom_site_fract_z
_atom_site_occupancy
Cs1 0.000 0.000 0.000 1
Cs2 0.000 0.183 0.000 1
Pu1 0.000 0.400 0.500 1
Cl1 0.000 0.097 0.500 1
Cl2 0.000 0.302 0.500 1
Cl3 0.000 0.403 0.000 1
Cl4 0.000 0.500 0.500 1
```

Principal peaks in the range 2θ from 10° to 80°, sorted by position:
2θ 12.46, I 36.2, hkl 0 4 0; 2θ 20.37, I 37.7, hkl 0 4 1; 2θ 22.25, I 87.0, hkl 1 5 0; 2θ 22.79, I 100.0, hkl 1 1 1; 2θ 24.76, I 57.4, hkl 0 6 1; 2θ 31.49, I 34.8, hkl 0 10 0; 2θ 31.85, I 44.2, hkl 2 0 0; 2θ 32.42, I 43.2, hkl 0 0 2; 2θ 39.67, I 40.5, hkl 1 5 2; 2θ 41.82, I 32.9, hkl 1 11 1

No. 2
# BiSbI6
Theoretical PXRD pattern, Cu Ka. Input: a PBE-relaxed structure.
Peak positions follow from Bragg's law for the DFT cell and can differ from measured ones.

Cell and atoms:
```
data_BiSbI6
_cell_length_a 7.6166
_cell_length_b 7.6166
_cell_length_c 20.7984
_cell_angle_alpha 90.00
_cell_angle_beta 90.00
_cell_angle_gamma 120.00
_symmetry_space_group_name_H-M 'R -3'
_symmetry_Int_Tables_number 148
_symmetry_space_group_name_Hall '-R 3'
loop_
_atom_site_label
_atom_site_fract_x
_atom_site_fract_y
_atom_site_fract_z
_atom_site_occupancy
Bi1 0.0000 0.0000 0.0000 1
Sb1 0.0000 0.0000 0.5000 1
I1 0.0026 0.3409 0.9158 1
```

Principal peaks in the range 2θ from 10° to 80°, sorted by position:
2θ 15.91, I 37.8, hkl 0 1 2; 2θ 21.76, I 21.9, hkl 1 0 4; 2θ 26.71, I 100.0, hkl 1 1 3; 2θ 35.00, I 56.1, hkl 2 -1 6; 2θ 37.11, I 16.7, hkl 3 -2 2; 2θ 41.05, I 42.1, hkl 3 0 0; 2θ 45.94, I 22.2, hkl 2 -1 9; 2θ 49.65, I 17.7, hkl 4 -2 3; 2θ 55.02, I 15.2, hkl 2 2 6; 2θ 69.00, I 18.0, hkl 3 0 12

No. 3
# LiS
Theoretical PXRD pattern, Cu Ka. Input: a PBE-relaxed structure.
Peak positions follow from Bragg's law for the DFT cell and can differ from measured ones.

Cell and atoms:
```
data_LiS
_cell_length_a 4.785
_cell_length_b 4.785
_cell_length_c 13.988
_cell_angle_alpha 90.00
_cell_angle_beta 90.00
_cell_angle_gamma 90.00
_symmetry_space_group_name_H-M 'I -4 2 m'
_symmetry_Int_Tables_number 121
_symmetry_space_group_name_Hall 'I -4 2'
loop_
_atom_site_label
_atom_site_fract_x
_atom_site_fract_y
_atom_site_fract_z
_atom_site_occupancy
Li1 0.000 0.000 0.224 1
Li2 0.000 0.500 0.000 1
S1 0.157 0.157 0.620 1
```

Principal peaks in the range 2θ from 10° to 80°, sorted by position:
2θ 19.61, I 90.4, hkl 1 0 1; 2θ 25.47, I 54.8, hkl 0 0 4; 2θ 26.69, I 26.6, hkl 1 0 3; 2θ 29.32, I 100.0, hkl 1 1 2; 2θ 37.23, I 23.7, hkl 1 0 5; 2θ 42.74, I 38.0, hkl 2 1 1; 2θ 45.96, I 14.3, hkl 2 0 4; 2θ 46.70, I 34.9, hkl 2 1 3; 2θ 47.35, I 22.4, hkl 1 1 6; 2θ 55.91, I 18.4, hkl 2 2 2